Diffraction record for Gd2TiO5. The powder XRD pattern is calculated, not measured: it uses a cell relaxed with PBE and Cu Kα (λ = 1.5418 Å).
Peak positions follow from Bragg's law for the DFT cell and can differ from measured ones.

Lattice parameters (Å, degrees): 7.5517 3.6786 15.7390 90.00 90.00 90.00
Sites, in units of the cell vectors:
Gd: 0.1108 0.2500 0.0817
Gd: 0.1544 0.2500 0.7389
Gd: 0.3456 0.7500 0.2389
Gd: 0.3892 0.7500 0.5817
Gd: 0.6108 0.2500 0.4183
Gd: 0.6544 0.2500 0.7611
Gd: 0.8456 0.7500 0.2611
Gd: 0.8892 0.7500 0.9183
Ti: 0.1157 0.2500 0.4232
Ti: 0.3843 0.7500 0.9232
Ti: 0.6157 0.2500 0.0768
Ti: 0.8843 0.7500 0.5768
O: 0.0770 0.7500 0.1731
O: 0.0773 0.7500 0.4530
O: 0.1145 0.7500 0.6483
O: 0.1601 0.7500 0.9932
O: 0.2466 0.2500 0.3246
O: 0.2534 0.7500 0.8246
O: 0.3399 0.2500 0.4932
O: 0.3855 0.2500 0.1483
O: 0.4230 0.2500 0.6731
O: 0.4227 0.2500 0.9530
O: 0.5773 0.7500 0.0470
O: 0.5770 0.7500 0.3269
O: 0.6145 0.7500 0.8517
O: 0.6601 0.7500 0.5068
O: 0.7466 0.2500 0.1754
O: 0.7534 0.7500 0.6754
O: 0.8399 0.2500 0.0068
O: 0.8855 0.2500 0.3517
O: 0.9227 0.2500 0.5470
O: 0.9230 0.2500 0.8269

The 12 most intense peaks (2θ = 10–90°), by angle:
13.00°, d 6.809, rel. 18
16.27°, d 5.449, rel. 18
29.14°, d 3.065, rel. 100
29.66°, d 3.012, rel. 99
34.03°, d 2.635, rel. 46
34.18°, d 2.623, rel. 23
39.52°, d 2.280, rel. 13
49.00°, d 1.859, rel. 53
49.56°, d 1.839, rel. 18
57.62°, d 1.600, rel. 23
58.13°, d 1.587, rel. 13
58.50°, d 1.578, rel. 39

=====

Diffraction record for Li2Ag3F6. The powder XRD pattern is calculated, not measured: it uses a cell relaxed with PBE and Cu Kα (λ = 1.5418 Å).
Peak positions follow from Bragg's law for the DFT cell and can differ from measured ones.

Lattice parameters (Å, degrees): 3.8499 3.8499 9.8322 97.73 97.73 89.61
Sites, in units of the cell vectors:
Li: 0.1357 0.1357 0.1982
Li: 0.8643 0.8643 0.8018
Ag: 0.3036 0.3036 0.6338
Ag: 0.5000 0.5000 0.0000
Ag: 0.6964 0.6964 0.3662
F: 0.1384 0.6260 0.1508
F: 0.1973 0.1973 0.3927
F: 0.3740 0.8616 0.8492
F: 0.6260 0.1384 0.1508
F: 0.8027 0.8027 0.6073
F: 0.8616 0.3740 0.8492

The 12 most intense peaks (2θ = 10–90°), by angle:
23.32°, d 3.815, rel. 70
23.90°, d 3.723, rel. 89
27.73°, d 3.217, rel. 49
31.80°, d 2.814, rel. 91
32.97°, d 2.717, rel. 100
33.94°, d 2.641, rel. 65
41.50°, d 2.176, rel. 40
43.64°, d 2.074, rel. 63
45.55°, d 1.992, rel. 26
47.32°, d 1.921, rel. 67
56.22°, d 1.636, rel. 19
56.70°, d 1.623, rel. 18

=====

Diffraction record for CeIn4Au2. The powder XRD pattern is calculated, not measured: it uses a cell relaxed with PBE and Cu Kα (λ = 1.5418 Å).
Peak positions follow from Bragg's law for the DFT cell and can differ from measured ones.

Lattice parameters (Å, degrees): 18.8366 4.7372 7.4745 90.00 90.00 90.00
Sites, in units of the cell vectors:
Ce: 0.1406 0.2500 0.0220
Ce: 0.3594 0.7500 0.5220
Ce: 0.6406 0.2500 0.4780
Ce: 0.8594 0.7500 0.9780
In: 0.0351 0.7500 0.8547
In: 0.0678 0.2500 0.4873
In: 0.1848 0.7500 0.3218
In: 0.1886 0.7500 0.7337
In: 0.3114 0.2500 0.2337
In: 0.3152 0.2500 0.8218
In: 0.4322 0.7500 0.9873
In: 0.4649 0.2500 0.3547
In: 0.5351 0.7500 0.6453
In: 0.5678 0.2500 0.0127
In: 0.6848 0.7500 0.1782
In: 0.6886 0.7500 0.7663
In: 0.8114 0.2500 0.2663
In: 0.8152 0.2500 0.6782
In: 0.9322 0.7500 0.5127
In: 0.9649 0.2500 0.1453
Au: 0.0385 0.7500 0.2411
Au: 0.2181 0.2500 0.5315
Au: 0.2819 0.7500 0.0315
Au: 0.4615 0.2500 0.7411
Au: 0.5385 0.7500 0.2589
Au: 0.7181 0.2500 0.9685
Au: 0.7819 0.7500 0.4685
Au: 0.9615 0.2500 0.7589

The 12 most intense peaks (2θ = 10–90°), by angle:
31.95°, d 2.801, rel. 100
32.65°, d 2.743, rel. 65
34.27°, d 2.617, rel. 17
35.45°, d 2.532, rel. 29
37.99°, d 2.369, rel. 57
38.89°, d 2.315, rel. 15
42.13°, d 2.145, rel. 64
42.89°, d 2.108, rel. 16
52.94°, d 1.730, rel. 19
61.04°, d 1.518, rel. 13
71.46°, d 1.320, rel. 13
87.34°, d 1.117, rel. 13

=====

Diffraction record for RbHoP2O7. The powder XRD pattern is calculated, not measured: it uses a cell relaxed with PBE and Cu Kα (λ = 1.5418 Å).
Peak positions follow from Bragg's law for the DFT cell and can differ from measured ones.

Lattice parameters (Å, degrees): 7.8818 11.0321 8.8152 90.00 105.64 90.00
Sites, in units of the cell vectors:
Rb: 0.1817 0.1820 0.0566
Rb: 0.1817 0.3180 0.5566
Rb: 0.8183 0.6820 0.4434
Rb: 0.8183 0.8180 0.9434
Ho: 0.2381 0.5995 0.2580
Ho: 0.2381 0.9005 0.7580
Ho: 0.7619 0.0995 0.2420
Ho: 0.7619 0.4005 0.7420
P: 0.1324 0.5979 0.8242
P: 0.1324 0.9021 0.3242
P: 0.4333 0.6330 0.6917
P: 0.4333 0.8670 0.1917
P: 0.5667 0.1330 0.8083
P: 0.5667 0.3670 0.3083
P: 0.8676 0.0979 0.6758
P: 0.8676 0.4021 0.1758
O: 0.0058 0.5029 0.7277
O: 0.0058 0.9971 0.2277
O: 0.0825 0.7261 0.7589
O: 0.0825 0.7739 0.2589
O: 0.1504 0.5901 0.9998
O: 0.1504 0.9099 0.4998
O: 0.3259 0.5635 0.8019
O: 0.3259 0.9365 0.3019
O: 0.3289 0.6080 0.5214
O: 0.3289 0.8920 0.0214
O: 0.3845 0.0742 0.7657
O: 0.3845 0.4258 0.2657
O: 0.4469 0.7332 0.2392
O: 0.4469 0.7668 0.7392
O: 0.5531 0.2332 0.2608
O: 0.5531 0.2668 0.7608
O: 0.6155 0.5742 0.7343
O: 0.6155 0.9258 0.2343
O: 0.6711 0.1080 0.9786
O: 0.6711 0.3920 0.4786
O: 0.6741 0.0635 0.6981
O: 0.6741 0.4365 0.1981
O: 0.8496 0.0901 0.5002
O: 0.8496 0.4099 0.0002
O: 0.9175 0.2261 0.7411
O: 0.9175 0.2739 0.2411
O: 0.9942 0.0029 0.7723
O: 0.9942 0.4971 0.2723

The 12 most intense peaks (2θ = 10–90°), by angle:
14.16°, d 6.253, rel. 39
15.62°, d 5.672, rel. 45
19.19°, d 4.625, rel. 21
20.93°, d 4.244, rel. 43
22.55°, d 3.942, rel. 24
23.44°, d 3.795, rel. 29
26.46°, d 3.369, rel. 22
26.94°, d 3.309, rel. 67
27.91°, d 3.197, rel. 52
28.15°, d 3.170, rel. 100
31.68°, d 2.824, rel. 25
43.22°, d 2.093, rel. 19